# Tm2Mn12InSn11
Computed XRD peak list, CuKα. Input: a structure optimized by DFT (GGA-PBE).

Peak list (10 most intense, 2θ = 10–80°, sorted by position)
(1 1 0), 2θ 32.96, d = 2.718 Å, I 100
(1 0 6), 2θ 35.46, d = 2.532 Å, I 47
(2 0 0), 2θ 38.24, d = 2.354 Å, I 28
(1 1 4), 2θ 38.69, d = 2.327 Å, I 87
(0 0 8), 2θ 40.03, d = 2.252 Å, I 24
(2 0 4), 2θ 43.38, d = 2.086 Å, I 43
(1 1 6), 2θ 44.99, d = 2.015 Å, I 25
(3 0 4), 2θ 62.70, d = 1.482 Å, I 21
(2 2 0), 2θ 69.13, d = 1.359 Å, I 29
(1 1 12), 2θ 71.83, d = 1.314 Å, I 36

Crystal structure
```
data_Tm2Mn12InSn11
_symmetry_space_group_name_H-M 'P -6 m 2'
_symmetry_Int_Tables_number 187
_symmetry_space_group_name_Hall 'P -6 2'
_cell_length_a 5.4354
_cell_length_b 5.4354
_cell_length_c 18.0186
_cell_angle_alpha 90.00
_cell_angle_beta 90.00
_cell_angle_gamma 120.00
loop_
_atom_site_label
_atom_site_type_symbol
_atom_site_fract_x
_atom_site_fract_y
_atom_site_fract_z
Tm1 Tm 0.0000 0.0000 0.2500
Mn1 Mn 0.0005 0.5002 0.1251
Mn2 Mn 0.5008 0.0015 0.3721
In1 In 0.3333 0.6667 0.5000
Sn1 Sn 0.0000 0.0000 0.0838
Sn2 Sn 0.0000 0.0000 0.4162
Sn3 Sn 0.3333 0.6667 0.0000
Sn4 Sn 0.3333 0.6667 0.2488
Sn5 Sn 0.6667 0.3333 0.0000
Sn6 Sn 0.6667 0.3333 0.2484
Sn7 Sn 0.6667 0.3333 0.5000
```

---

# SnPd3Pb3
Computed XRD peak list, CuKα. Input: a structure optimized by DFT (GGA-PBE).

Peak list (10 most intense, 2θ = 10–80°, sorted by position)
(2 2 0), 2θ 26.91, d = 3.314 Å, I 23
(3 1 0), 2θ 31.08, d = 2.878 Å, I 31
(1 3 1), 2θ 32.19, d = 2.781 Å, I 73
(2 0 2), 2θ 33.35, d = 2.687 Å, I 28
(2 2 -2), 2θ 34.70, d = 2.585 Å, I 100
(0 4 0), 2θ 36.88, d = 2.437 Å, I 25
(2 2 2), 2θ 38.25, d = 2.353 Å, I 22
(1 3 2), 2θ 39.13, d = 2.302 Å, I 40
(4 0 0), 2θ 39.91, d = 2.259 Å, I 30
(2 0 3), 2θ 44.24, d = 2.047 Å, I 29

Crystal structure
```
data_SnPd3Pb3
_symmetry_space_group_name_H-M 'C 1 2/m 1'
_symmetry_Int_Tables_number 12
_symmetry_space_group_name_Hall '-C 2y'
_cell_length_a 9.1116
_cell_length_b 9.7496
_cell_length_c 7.4113
_cell_angle_alpha 90.00
_cell_angle_beta 97.39
_cell_angle_gamma 90.00
loop_
_atom_site_label
_atom_site_type_symbol
_atom_site_fract_x
_atom_site_fract_y
_atom_site_fract_z
Sn1 Sn 0.2417 0.0000 0.4434
Pd1 Pd 0.0104 0.5000 0.3043
Pd2 Pd 0.2505 0.1943 0.1884
Pb1 Pb 0.0000 0.2328 0.5000
Pb2 Pb 0.0000 0.3196 0.0000
Pb3 Pb 0.1700 0.0000 0.8746
```

---

# La6Pm2Sm5
Computed XRD peak list, CuKα. Input: a structure optimized by DFT (GGA-PBE).

Peak list (10 most intense, 2θ = 10–80°, sorted by position)
(4 1 0), 2θ 30.10, d = 2.969 Å, I 49
(1 7 0), 2θ 30.53, d = 2.928 Å, I 100
(2 3 1), 2θ 31.17, d = 2.870 Å, I 83
(2 4 1), 2θ 33.18, d = 2.700 Å, I 31
(3 6 0), 2θ 33.94, d = 2.641 Å, I 18
(3 3 1), 2θ 35.48, d = 2.530 Å, I 24
(0 0 2), 2θ 49.39, d = 1.845 Å, I 18
(1 10 1), 2θ 50.38, d = 1.811 Å, I 16
(4 1 2), 2θ 58.94, d = 1.567 Å, I 18
(1 7 2), 2θ 59.21, d = 1.561 Å, I 17

Crystal structure
```
data_La6Pm2Sm5
_symmetry_space_group_name_H-M 'P b a m'
_symmetry_Int_Tables_number 55
_symmetry_space_group_name_Hall '-P 2 2ab'
_cell_length_a 11.9948
_cell_length_b 21.1070
_cell_length_c 3.6904
_cell_angle_alpha 90.00
_cell_angle_beta 90.00
_cell_angle_gamma 90.00
loop_
_atom_site_label
_atom_site_type_symbol
_atom_site_fract_x
_atom_site_fract_y
_atom_site_fract_z
La1 La 0.0597 0.0785 0.0000
La2 La 0.0802 0.3661 0.0000
La3 La 0.1777 0.6322 0.5000
Pm1 Pm 0.1676 0.7866 0.0000
Sm1 Sm 0.0000 0.5000 0.5000
Sm2 Sm 0.0910 0.2244 0.5000
Sm3 Sm 0.1991 0.9433 0.5000
```